# 1
Computed powder XRD pattern of BAsO4 for CuKα, from a GGA-PBE-relaxed structure.

Largest 10 diffraction maxima, most intense first, 2θ = 15–90°:
- 2θ = 27.95°, I = 100, (1 0 2)
- 2θ = 23.71°, I = 45, (0 1 1)
- 2θ = 22.14°, I = 20, (1 0 0)
- 2θ = 41.02°, I = 15, (0 1 4)
- 2θ = 52.51°, I = 15, (2 0 3)
- 2θ = 25.39°, I = 14, (0 0 3)
- 2θ = 39.81°, I = 14, (1 1 1)
- 2θ = 63.82°, I = 13, (1 2 2)
- 2θ = 45.16°, I = 12, (2 0 0)
- 2θ = 52.62°, I = 10, (1 1 4)

Cell and atoms:
```
data_BAsO4
_symmetry_space_group_name_H-M 'P 31 2 1'
_symmetry_Int_Tables_number 152
_symmetry_space_group_name_Hall 'P 31 2"'
_cell_length_a 4.6371
_cell_length_b 4.6371
_cell_length_c 10.5224
_cell_angle_alpha 90.00
_cell_angle_beta 90.00
_cell_angle_gamma 120.00
loop_
_atom_site_label
_atom_site_type_symbol
_atom_site_fract_x
_atom_site_fract_y
_atom_site_fract_z
_atom_site_occupancy
B1 B 0.0000 0.5367 0.1667 1
As1 As 0.0000 0.5410 0.6667 1
O1 O 0.0855 0.3945 0.0565 1
O2 O 0.1303 0.4042 0.5387 1
```


# 2
Computed powder XRD pattern of HoFeCu for CuKα, from a GGA-PBE-relaxed structure.

Largest 10 diffraction maxima, most intense first, 2θ = 15–90°:
- 2θ = 34.54°, I = 100, (1 1 2)
- 2θ = 40.10°, I = 80, (0 1 3)
- 2θ = 41.44°, I = 79, (1 2 1)
- 2θ = 41.67°, I = 66, (2 1 1)
- 2θ = 72.84°, I = 34, (2 2 4)
- 2θ = 35.55°, I = 26, (2 0 0)
- 2θ = 35.19°, I = 21, (0 2 0)
- 2θ = 64.59°, I = 19, (1 0 5)
- 2θ = 21.04°, I = 18, (0 1 1)
- 2θ = 62.72°, I = 18, (1 3 2)

Cell and atoms:
```
data_HoFeCu
_symmetry_space_group_name_H-M 'I m m a'
_symmetry_Int_Tables_number 74
_symmetry_space_group_name_Hall '-I 2b 2'
_cell_length_a 5.0506
_cell_length_b 5.1008
_cell_length_c 7.5254
_cell_angle_alpha 90.00
_cell_angle_beta 90.00
_cell_angle_gamma 90.00
loop_
_atom_site_label
_atom_site_type_symbol
_atom_site_fract_x
_atom_site_fract_y
_atom_site_fract_z
_atom_site_occupancy
Ho1 Ho 0.0000 0.2500 0.1224 1
Fe1 Fe 0.2500 0.2500 0.7500 1
Cu1 Cu 0.0000 0.0000 0.5000 1
```


# 3
Computed powder XRD pattern of CaZrTiSnO6 for CuKα, from a GGA-PBE-relaxed structure.

Largest 10 diffraction maxima, most intense first, 2θ = 15–90°:
- 2θ = 31.26°, I = 100, (2 2 0)
- 2θ = 55.63°, I = 39, (4 2 2)
- 2θ = 44.79°, I = 39, (4 0 0)
- 2θ = 65.20°, I = 23, (4 4 0)
- 2θ = 18.99°, I = 23, (1 1 1)
- 2θ = 74.08°, I = 17, (6 2 0)
- 2θ = 36.83°, I = 15, (3 1 1)
- 2θ = 49.06°, I = 8, (3 3 1)
- 2θ = 38.53°, I = 8, (2 2 2)
- 2θ = 82.58°, I = 7, (4 4 4)

Cell and atoms:
```
data_CaZrTiSnO6
_symmetry_space_group_name_H-M 'F -4 3 m'
_symmetry_Int_Tables_number 216
_symmetry_space_group_name_Hall 'F -4 2 3'
_cell_length_a 8.0938
_cell_length_b 8.0938
_cell_length_c 8.0938
_cell_angle_alpha 90.00
_cell_angle_beta 90.00
_cell_angle_gamma 90.00
loop_
_atom_site_label
_atom_site_type_symbol
_atom_site_fract_x
_atom_site_fract_y
_atom_site_fract_z
_atom_site_occupancy
Ca1 Ca 0.0000 0.0000 0.0000 1
Zr1 Zr 0.2500 0.2500 0.7500 1
Ti1 Ti 0.2500 0.2500 0.2500 1
Sn1 Sn 0.0000 0.0000 0.5000 1
O1 O 0.0083 0.2500 0.2500 1
```


# 4
Computed powder XRD pattern of TaVNi for CuKα, from a GGA-PBE-relaxed structure.

Largest 10 diffraction maxima, most intense first, 2θ = 15–90°:
- 2θ = 39.65°, I = 100, (3 0 2)
- 2θ = 43.02°, I = 65, (2 1 3)
- 2θ = 36.46°, I = 53, (0 1 3)
- 2θ = 43.13°, I = 36, (2 2 0)
- 2θ = 43.98°, I = 30, (1 2 2)
- 2θ = 67.76°, I = 26, (3 2 4)
- 2θ = 73.67°, I = 26, (5 2 2)
- 2θ = 36.58°, I = 24, (0 2 0)
- 2θ = 20.83°, I = 19, (0 0 2)
- 2θ = 22.05°, I = 16, (2 0 0)

Cell and atoms:
```
data_TaVNi
_symmetry_space_group_name_H-M 'A m m 2'
_symmetry_Int_Tables_number 38
_symmetry_space_group_name_Hall 'A 2 -2'
_cell_length_a 8.0610
_cell_length_b 4.9130
_cell_length_c 8.5450
_cell_angle_alpha 90.00
_cell_angle_beta 90.00
_cell_angle_gamma 90.00
loop_
_atom_site_label
_atom_site_type_symbol
_atom_site_fract_x
_atom_site_fract_y
_atom_site_fract_z
_atom_site_occupancy
Ta1 Ta 0.1841 0.0000 0.0000 1
Ta2 Ta 0.3063 0.0000 0.6644 1
V1 V 0.0000 0.0000 0.4837 1
V2 V 0.5000 0.0000 0.1514 1
V3 V 0.5000 0.2453 0.9098 1
Ni1 Ni 0.0000 0.2440 0.7322 1
Ni2 Ni 0.2455 0.0000 0.3244 1
```


# 5
Computed powder XRD pattern of Mg3Co for CuKα, from a GGA-PBE-relaxed structure.

Largest 10 diffraction maxima, most intense first, 2θ = 15–90°:
- 2θ = 39.15°, I = 100, (2 2 0)
- 2θ = 70.94°, I = 31, (4 2 2)
- 2θ = 23.68°, I = 17, (1 1 1)
- 2θ = 56.56°, I = 16, (4 0 0)
- 2θ = 84.14°, I = 9, (4 4 0)
- 2θ = 27.41°, I = 9, (2 0 0)
- 2θ = 46.26°, I = 8, (3 1 1)
- 2θ = 62.17°, I = 3, (3 3 1)
- 2θ = 63.97°, I = 3, (4 2 0)
- 2θ = 48.45°, I = 2, (2 2 2)

Cell and atoms:
```
data_Mg3Co
_symmetry_space_group_name_H-M 'F m -3 m'
_symmetry_Int_Tables_number 225
_symmetry_space_group_name_Hall '-F 4 2 3'
_cell_length_a 6.5084
_cell_length_b 6.5084
_cell_length_c 6.5084
_cell_angle_alpha 90.00
_cell_angle_beta 90.00
_cell_angle_gamma 90.00
loop_
_atom_site_label
_atom_site_type_symbol
_atom_site_fract_x
_atom_site_fract_y
_atom_site_fract_z
_atom_site_occupancy
Mg1 Mg 0.0000 0.0000 0.0000 1
Mg2 Mg 0.2500 0.2500 0.2500 1
Co1 Co 0.0000 0.0000 0.5000 1
```


# 6
Computed powder XRD pattern of Nd2InHg for CuKα, from a GGA-PBE-relaxed structure.

Largest 10 diffraction maxima, most intense first, 2θ = 15–90°:
- 2θ = 32.69°, I = 100, (2 2 0)
- 2θ = 58.35°, I = 38, (4 2 2)
- 2θ = 46.91°, I = 18, (4 0 0)
- 2θ = 78.01°, I = 16, (6 2 0)
- 2θ = 68.52°, I = 12, (4 4 0)
- 2θ = 87.17°, I = 4, (4 4 4)
- 2θ = 19.85°, I = 4, (1 1 1)
- 2θ = 38.54°, I = 2, (3 1 1)
- 2θ = 51.41°, I = 1, (3 3 1)
- 2θ = 72.13°, I = 1, (5 3 1)

Cell and atoms:
```
data_Nd2InHg
_symmetry_space_group_name_H-M 'F m -3 m'
_symmetry_Int_Tables_number 225
_symmetry_space_group_name_Hall '-F 4 2 3'
_cell_length_a 7.7471
_cell_length_b 7.7471
_cell_length_c 7.7471
_cell_angle_alpha 90.00
_cell_angle_beta 90.00
_cell_angle_gamma 90.00
loop_
_atom_site_label
_atom_site_type_symbol
_atom_site_fract_x
_atom_site_fract_y
_atom_site_fract_z
_atom_site_occupancy
Nd1 Nd 0.2500 0.2500 0.2500 1
In1 In 0.0000 0.0000 0.0000 1
Hg1 Hg 0.0000 0.0000 0.5000 1
```